[1]
This entry pairs a crystal structure of LaNd2CoAg with its simulated PXRD pattern. Radiation: Cu Kα. Structure: a cell relaxed with PBE.
No peak broadening, texture or thermal motion is included.

Top 6 peaks for 2θ = 10–90°, low angle first:
| 2θ (°) | d (Å) | I/Imax |
| --- | --- | --- |
| 29.15 | 3.064 | 100.0 |
| 33.33 | 2.688 | 57.3 |
| 34.66 | 2.588 | 23.9 |
| 47.85 | 1.901 | 20.5 |
| 48.85 | 1.864 | 35.8 |
| 57.01 | 1.615 | 30.1 |

Cell and atoms:
```
LaNd2CoAg
1.0
5.376 0.000 0.000
0.000 5.376 0.000
0.000 0.000 5.176
La Nd Co Ag
1 2 1 1
Direct
0.000 0.000 0.000
0.000 0.500 0.491
0.500 0.000 0.491
0.000 0.000 0.514
0.500 0.500 0.050
```

=====

[2]
This entry pairs a crystal structure of BaYMg6 with its simulated PXRD pattern. Radiation: Cu Kα. Structure: a cell relaxed with PBE.
No peak broadening, texture or thermal motion is included.

Top 6 peaks for 2θ = 10–90°, low angle first:
| 2θ (°) | d (Å) | I/Imax |
| --- | --- | --- |
| 14.60 | 6.068 | 24.3 |
| 22.21 | 4.002 | 67.5 |
| 25.42 | 3.503 | 30.0 |
| 29.44 | 3.034 | 25.4 |
| 33.67 | 2.662 | 23.0 |
| 34.01 | 2.636 | 100.0 |

Cell and atoms:
```
BaYMg6
1.0
5.323 0.000 0.000
0.000 7.013 0.000
0.000 0.000 12.125
Ba Y Mg
2 2 12
Direct
0.000 0.000 0.000
0.000 0.500 0.500
0.500 0.000 0.667
0.500 0.500 0.167
0.000 0.000 0.499
0.000 0.249 0.250
0.000 0.251 0.750
0.000 0.500 0.999
0.000 0.749 0.750
0.000 0.751 0.250
0.500 0.000 0.181
0.500 0.228 0.410
0.500 0.272 0.910
0.500 0.500 0.681
0.500 0.728 0.910
0.500 0.772 0.410
```

=====

[3]
This entry pairs a crystal structure of Pr6YTh3 with its simulated PXRD pattern. Radiation: Cu Kα. Structure: a cell relaxed with PBE.
No peak broadening, texture or thermal motion is included.

Top 6 peaks for 2θ = 10–90°, low angle first:
| 2θ (°) | d (Å) | I/Imax |
| --- | --- | --- |
| 29.90 | 2.988 | 100.0 |
| 29.99 | 2.980 | 99.9 |
| 34.65 | 2.588 | 33.9 |
| 34.66 | 2.588 | 33.9 |
| 49.83 | 1.830 | 36.2 |
| 59.27 | 1.559 | 35.8 |

Cell and atoms:
```
Pr6YTh3
1.0
3.644 0.000 0.000
-1.814 13.074 0.000
-0.068 -2.077 14.487
Pr Y Th
12 2 6
Direct
0.002 0.003 0.380
0.199 0.395 0.424
0.201 0.405 0.925
0.399 0.801 0.729
0.402 0.802 0.972
0.403 0.806 0.228
0.597 0.194 0.772
0.598 0.198 0.028
0.601 0.199 0.271
0.799 0.595 0.075
0.801 0.605 0.576
0.998 0.997 0.620
0.200 0.401 0.675
0.800 0.599 0.325
0.001 0.999 0.120
0.202 0.402 0.178
0.398 0.796 0.471
0.602 0.204 0.529
0.798 0.598 0.822
0.999 0.001 0.880
```

=====

[4]
This entry pairs a crystal structure of NaLi2PbCl6 with its simulated PXRD pattern. Radiation: Cu Kα. Structure: a cell relaxed with PBE.
No peak broadening, texture or thermal motion is included.

Top 6 peaks for 2θ = 10–90°, low angle first:
| 2θ (°) | d (Å) | I/Imax |
| --- | --- | --- |
| 10.11 | 8.751 | 100.0 |
| 13.59 | 6.513 | 78.2 |
| 14.97 | 5.918 | 42.7 |
| 22.06 | 4.029 | 47.2 |
| 26.13 | 3.411 | 60.6 |
| 31.04 | 2.881 | 79.0 |

Cell and atoms:
```
NaLi2PbCl6
1.0
6.766 -5.907 0.000
6.766 5.907 0.000
-1.915 0.000 6.805
Na Li Pb Cl
2 4 2 12
Direct
0.102 0.898 0.750
0.898 0.102 0.250
0.117 0.286 0.767
0.286 0.117 0.267
0.714 0.883 0.733
0.883 0.714 0.233
0.385 0.615 0.250
0.615 0.385 0.750
0.082 0.190 0.033
0.133 0.631 0.401
0.190 0.082 0.533
0.316 0.462 0.867
0.369 0.867 0.099
0.462 0.316 0.367
0.538 0.684 0.633
0.631 0.133 0.901
0.684 0.538 0.133
0.810 0.918 0.467
0.867 0.369 0.599
0.918 0.810 0.967
```

=====

[5]
This entry pairs a crystal structure of Sm3HoFe8 with its simulated PXRD pattern. Radiation: Cu Kα. Structure: a cell relaxed with PBE.
No peak broadening, texture or thermal motion is included.

Top 6 peaks for 2θ = 10–90°, low angle first:
| 2θ (°) | d (Å) | I/Imax |
| --- | --- | --- |
| 20.95 | 4.239 | 15.0 |
| 34.55 | 2.596 | 66.2 |
| 40.76 | 2.214 | 100.0 |
| 61.91 | 1.499 | 24.6 |
| 66.12 | 1.413 | 30.5 |
| 72.87 | 1.298 | 22.1 |

Cell and atoms:
```
Sm3HoFe8
1.0
2.596 1.499 8.481
-2.596 1.499 8.481
0.000 -2.997 8.481
Sm Ho Fe
3 1 8
Direct
0.000 0.000 0.000
0.125 0.125 0.125
0.500 0.500 0.500
0.625 0.625 0.625
0.060 0.563 0.563
0.063 0.063 0.565
0.063 0.565 0.063
0.312 0.312 0.312
0.563 0.060 0.563
0.563 0.563 0.060
0.565 0.063 0.063
0.813 0.813 0.813
```

=====

[6]
This entry pairs a crystal structure of Cu3Se5 with its simulated PXRD pattern. Radiation: Cu Kα. Structure: a cell relaxed with PBE.
No peak broadening, texture or thermal motion is included.

Top 6 peaks for 2θ = 10–90°, low angle first:
| 2θ (°) | d (Å) | I/Imax |
| --- | --- | --- |
| 23.99 | 3.710 | 100.0 |
| 25.97 | 3.431 | 63.8 |
| 31.45 | 2.844 | 85.6 |
| 41.73 | 2.164 | 72.6 |
| 45.01 | 2.014 | 48.7 |
| 49.11 | 1.855 | 57.6 |

Cell and atoms:
```
Cu3Se5
1.0
5.505 0.000 0.000
0.000 7.420 0.000
-0.610 0.000 8.287
Cu Se
6 10
Direct
0.057 0.250 0.231
0.325 0.250 0.775
0.329 0.750 0.408
0.671 0.250 0.592
0.675 0.750 0.225
0.943 0.750 0.769
0.014 0.750 0.063
0.088 0.250 0.524
0.345 0.516 0.191
0.345 0.984 0.191
0.367 0.750 0.695
0.633 0.250 0.305
0.655 0.016 0.809
0.655 0.484 0.809
0.912 0.750 0.476
0.986 0.250 0.937
```

=====

[7]
This entry pairs a crystal structure of Pu4Ga3Hg with its simulated PXRD pattern. Radiation: Cu Kα. Structure: a cell relaxed with PBE.
No peak broadening, texture or thermal motion is included.

Top 6 peaks for 2θ = 10–90°, low angle first:
| 2θ (°) | d (Å) | I/Imax |
| --- | --- | --- |
| 20.08 | 4.422 | 13.6 |
| 34.61 | 2.592 | 100.0 |
| 39.86 | 2.262 | 33.8 |
| 40.81 | 2.211 | 16.2 |
| 58.37 | 1.581 | 22.6 |
| 69.01 | 1.361 | 26.7 |

Cell and atoms:
```
Pu4Ga3Hg
1.0
4.422 0.000 0.000
0.000 4.524 0.000
0.000 0.000 9.045
Pu Ga Hg
4 3 1
Direct
0.000 0.000 0.000
0.000 0.000 0.500
0.000 0.500 0.236
0.000 0.500 0.764
0.500 0.000 0.247
0.500 0.000 0.753
0.500 0.500 0.000
0.500 0.500 0.500
```

=====

[8]
This entry pairs a crystal structure of Ce6Y2O15 with its simulated PXRD pattern. Radiation: Cu Kα. Structure: a cell relaxed with PBE.
No peak broadening, texture or thermal motion is included.

Top 6 peaks for 2θ = 10–90°, low angle first:
| 2θ (°) | d (Å) | I/Imax |
| --- | --- | --- |
| 28.36 | 3.147 | 100.0 |
| 32.87 | 2.725 | 28.4 |
| 47.16 | 1.927 | 52.2 |
| 55.95 | 1.643 | 41.1 |
| 76.13 | 1.250 | 15.3 |
| 87.73 | 1.113 | 13.9 |

Cell and atoms:
```
Ce6Y2O15
1.0
7.705 -5.455 0.000
7.705 5.455 0.000
-7.701 0.000 7.704
Ce Y O
12 4 30
Direct
0.001 0.999 0.500
0.005 0.497 0.757
0.247 0.744 0.750
0.490 0.516 0.019
0.496 0.976 0.743
0.497 0.005 0.257
0.516 0.490 0.519
0.744 0.247 0.250
0.746 0.753 0.505
0.753 0.746 0.005
0.976 0.496 0.243
0.999 0.001 0.000
0.228 0.253 0.480
0.248 0.776 0.257
0.253 0.228 0.980
0.776 0.248 0.757
0.010 0.242 0.745
0.011 0.734 0.251
0.025 0.274 0.025
0.242 0.010 0.245
0.242 0.497 0.472
0.246 0.990 0.992
0.250 0.979 0.740
0.253 0.506 0.027
0.262 0.486 0.752
0.274 0.025 0.525
0.478 0.723 0.486
0.486 0.262 0.252
0.497 0.242 0.972
0.498 0.754 0.010
0.500 0.766 0.265
0.505 0.735 0.757
0.506 0.253 0.527
0.723 0.478 0.986
0.734 0.011 0.751
0.735 0.505 0.257
0.744 0.991 0.999
0.748 0.998 0.250
0.754 0.498 0.510
0.757 0.998 0.502
0.766 0.500 0.765
0.979 0.250 0.240
0.990 0.246 0.492
0.991 0.744 0.499
0.998 0.748 0.750
0.998 0.757 0.002
```

=====

[9]
This entry pairs a crystal structure of Tm2P3Pt9 with its simulated PXRD pattern. Radiation: Cu Kα. Structure: a cell relaxed with PBE.
No peak broadening, texture or thermal motion is included.

Top 6 peaks for 2θ = 10–90°, low angle first:
| 2θ (°) | d (Å) | I/Imax |
| --- | --- | --- |
| 38.92 | 2.314 | 100.0 |
| 39.07 | 2.306 | 83.3 |
| 39.21 | 2.298 | 84.3 |
| 39.49 | 2.282 | 95.1 |
| 40.08 | 2.250 | 47.0 |
| 71.13 | 1.325 | 32.1 |

Cell and atoms:
```
Tm2P3Pt9
1.0
6.749 -3.971 0.000
6.749 3.971 0.000
-4.468 0.000 8.538
Tm P Pt
4 6 18
Direct
0.089 0.254 0.252
0.254 0.089 0.752
0.746 0.911 0.248
0.911 0.746 0.748
0.000 0.500 0.000
0.125 0.690 0.504
0.310 0.875 0.996
0.500 0.000 0.500
0.690 0.125 0.004
0.875 0.310 0.496
0.007 0.873 0.080
0.127 0.993 0.420
0.179 0.368 0.586
0.214 0.579 0.269
0.273 0.485 0.932
0.355 0.645 0.750
0.368 0.179 0.086
0.421 0.786 0.231
0.485 0.273 0.432
0.515 0.727 0.568
0.579 0.214 0.769
0.632 0.821 0.914
0.645 0.355 0.250
0.727 0.515 0.068
0.786 0.421 0.731
0.821 0.632 0.414
0.873 0.007 0.580
0.993 0.127 0.920
```

=====

[10]
This entry pairs a crystal structure of Sc6SnPb with its simulated PXRD pattern. Radiation: Cu Kα. Structure: a cell relaxed with PBE.
No peak broadening, texture or thermal motion is included.

Top 6 peaks for 2θ = 10–90°, low angle first:
| 2θ (°) | d (Å) | I/Imax |
| --- | --- | --- |
| 19.58 | 4.533 | 44.3 |
| 27.83 | 3.205 | 39.4 |
| 34.26 | 2.617 | 100.0 |
| 39.77 | 2.266 | 49.3 |
| 57.51 | 1.603 | 32.3 |
| 68.68 | 1.367 | 37.6 |

Cell and atoms:
```
Sc6SnPb
1.0
4.532 0.000 0.000
0.000 4.532 0.000
0.000 0.000 9.069
Sc Sn Pb
6 1 1
Direct
0.000 0.000 0.000
0.000 0.000 0.500
0.000 0.500 0.246
0.000 0.500 0.754
0.500 0.000 0.246
0.500 0.000 0.754
0.500 0.500 0.000
0.500 0.500 0.500
```

=====

[11]
This entry pairs a crystal structure of La8AuN4 with its simulated PXRD pattern. Radiation: Cu Kα. Structure: a cell relaxed with PBE.
No peak broadening, texture or thermal motion is included.

Top 6 peaks for 2θ = 10–90°, low angle first:
| 2θ (°) | d (Å) | I/Imax |
| --- | --- | --- |
| 27.65 | 3.227 | 100.0 |
| 32.03 | 2.794 | 38.1 |
| 34.99 | 2.564 | 29.8 |
| 42.00 | 2.151 | 40.1 |
| 45.93 | 1.976 | 50.4 |
| 54.45 | 1.685 | 29.5 |

Cell and atoms:
```
La8AuN4
1.0
0.000 5.589 5.589
5.589 0.000 5.589
5.589 5.589 0.000
La Au N
8 1 4
Direct
0.078 0.641 0.641
0.104 0.104 0.104
0.104 0.104 0.687
0.104 0.687 0.104
0.641 0.078 0.641
0.641 0.641 0.078
0.641 0.641 0.641
0.687 0.104 0.104
0.250 0.250 0.250
0.383 0.872 0.872
0.872 0.383 0.872
0.872 0.872 0.383
0.872 0.872 0.872
```

=====

[12]
This entry pairs a crystal structure of Pr3Th5As8 with its simulated PXRD pattern. Radiation: Cu Kα. Structure: a cell relaxed with PBE.
No peak broadening, texture or thermal motion is included.

Top 6 peaks for 2θ = 10–90°, low angle first:
| 2θ (°) | d (Å) | I/Imax |
| --- | --- | --- |
| 25.54 | 3.488 | 34.2 |
| 29.57 | 3.021 | 100.0 |
| 42.32 | 2.136 | 76.2 |
| 52.47 | 1.744 | 27.2 |
| 69.60 | 1.351 | 35.2 |
| 77.39 | 1.233 | 26.3 |

Cell and atoms:
```
Pr3Th5As8
1.0
4.272 2.467 6.973
-4.272 2.467 6.973
0.000 -4.933 6.973
Pr Th As
3 5 8
Direct
0.000 0.500 0.500
0.500 0.000 0.500
0.500 0.500 0.000
0.000 0.000 0.000
0.000 0.000 0.500
0.000 0.500 0.000
0.500 0.000 0.000
0.500 0.500 0.500
0.247 0.750 0.750
0.248 0.248 0.248
0.250 0.250 0.753
0.250 0.753 0.250
0.750 0.247 0.750
0.750 0.750 0.247
0.752 0.752 0.752
0.753 0.250 0.250
```